# InBr2Cl
Computed powder X-ray diffraction pattern, Cu Ka. Input: a DFT-relaxed cell (PBE, Alexandria).

Structure:
Lattice parameters (Å, degrees): 7.0762 7.5921 7.8012 66.24 64.67 65.59
Element x y z (fractional)
In 0.0000 0.0000 0.0000
In 0.4593 0.8520 0.2313
Br 0.0522 0.2383 0.6653
Br 0.1691 0.1854 0.1312
Br 0.4143 0.6135 0.5648
Br 0.8139 0.7741 0.9399
Cl 0.2740 0.6908 0.1096
Cl 0.6572 0.0624 0.2731

Top 10 peaks for 10° ≤ 2θ ≤ 90°, sorted by position:
| 2θ/deg | d_spacing | Rel. int. |
| --- | --- | --- |
| 13.06 | 6.780 | 80 |
| 13.32 | 6.647 | 90 |
| 15.90 | 5.573 | 95 |
| 16.19 | 5.476 | 65 |
| 16.59 | 5.344 | 39 |
| 22.43 | 3.965 | 100 |
| 30.70 | 2.913 | 79 |
| 34.12 | 2.628 | 43 |
| 35.69 | 2.516 | 38 |
| 37.83 | 2.378 | 53 |

***

# In3Br4Cl2
Computed powder X-ray diffraction pattern, Cu Ka. Input: a DFT-relaxed cell (PBE, Alexandria).

Structure:
Lattice parameters (Å, degrees): 10.0519 10.0519 7.0380 107.37 107.37 74.02
Element x y z (fractional)
In 0.0615 0.9385 0.7500
In 0.1903 0.3566 0.5327
In 0.3566 0.1903 0.0327
In 0.6434 0.8097 0.9673
In 0.8097 0.6434 0.4673
In 0.9385 0.0615 0.2500
Br 0.1000 0.6294 0.4558
Br 0.2933 0.4542 0.9458
Br 0.3706 0.9000 0.0442
Br 0.4542 0.2933 0.4458
Br 0.5458 0.7067 0.5542
Br 0.6294 0.1000 0.9558
Br 0.7067 0.5458 0.0542
Br 0.9000 0.3706 0.5442
Cl 0.1013 0.2371 0.1204
Cl 0.2371 0.1013 0.6204
Cl 0.7629 0.8987 0.3796
Cl 0.8987 0.7629 0.8796

Top 10 peaks for 10° ≤ 2θ ≤ 90°, sorted by position:
| 2θ/deg | d_spacing | Rel. int. |
| --- | --- | --- |
| 11.89 | 7.445 | 41 |
| 14.60 | 6.067 | 100 |
| 19.33 | 4.592 | 44 |
| 27.33 | 3.264 | 31 |
| 28.57 | 3.124 | 68 |
| 33.86 | 2.647 | 36 |
| 34.58 | 2.594 | 27 |
| 35.83 | 2.506 | 62 |
| 44.77 | 2.024 | 50 |
| 44.94 | 2.017 | 27 |

***

# In5Br3Cl4
Computed powder X-ray diffraction pattern, Cu Ka. Input: a DFT-relaxed cell (PBE, Alexandria).

Structure:
Lattice parameters (Å, degrees): 7.8572 7.8572 10.8905 108.29 108.29 39.97
Element x y z (fractional)
In 0.0000 0.0000 0.0000
In 0.3541 0.3541 0.6550
In 0.4018 0.4018 0.3224
In 0.5982 0.5982 0.6776
In 0.6459 0.6459 0.3450
Br 0.1813 0.1813 0.1830
Br 0.5000 0.5000 0.0000
Br 0.8187 0.8187 0.8170
Cl 0.0707 0.0707 0.8206
Cl 0.1586 0.1586 0.5461
Cl 0.8414 0.8414 0.4539
Cl 0.9293 0.9293 0.1794

Top 10 peaks for 10° ≤ 2θ ≤ 90°, sorted by position:
| 2θ/deg | d_spacing | Rel. int. |
| --- | --- | --- |
| 12.75 | 6.942 | 37 |
| 17.69 | 5.014 | 29 |
| 18.75 | 4.733 | 32 |
| 23.27 | 3.822 | 29 |
| 25.66 | 3.472 | 23 |
| 29.76 | 3.002 | 100 |
| 31.56 | 2.835 | 24 |
| 33.38 | 2.684 | 57 |
| 35.33 | 2.541 | 26 |
| 45.29 | 2.002 | 30 |

***

# MnIn5Br4Cl2
Computed powder X-ray diffraction pattern, Cu Ka. Input: a DFT-relaxed cell (PBE, Alexandria).

Structure:
Lattice parameters (Å, degrees): 8.2878 9.4139 9.4139 141.91 90.00 90.00
Element x y z (fractional)
Mn 0.0000 0.0000 0.0000
In 0.2131 0.4748 0.9742
In 0.2131 0.9742 0.4748
In 0.5000 0.1926 0.1926
In 0.7869 0.4748 0.9742
In 0.7869 0.9742 0.4748
Br 0.0000 0.1588 0.3785
Br 0.0000 0.3785 0.1588
Br 0.2584 0.8034 0.8034
Br 0.7416 0.8034 0.8034
Cl 0.5000 0.0566 0.4062
Cl 0.5000 0.4062 0.0566

Top 10 peaks for 10° ≤ 2θ ≤ 90°, sorted by position:
| 2θ/deg | d_spacing | Rel. int. |
| --- | --- | --- |
| 15.26 | 5.808 | 31 |
| 19.96 | 4.449 | 100 |
| 23.68 | 3.757 | 57 |
| 26.42 | 3.373 | 93 |
| 29.06 | 3.073 | 82 |
| 29.46 | 3.032 | 66 |
| 30.98 | 2.887 | 34 |
| 37.83 | 2.378 | 34 |
| 41.86 | 2.158 | 65 |
| 48.84 | 1.865 | 34 |

***

# NaIn5Br4Cl2
Computed powder X-ray diffraction pattern, Cu Ka. Input: a DFT-relaxed cell (PBE, Alexandria).

Structure:
Lattice parameters (Å, degrees): 8.6381 7.4900 7.4900 115.85 90.00 90.00
Element x y z (fractional)
Na 0.0000 0.0000 0.0000
In 0.2551 0.3678 0.6733
In 0.2551 0.6733 0.3678
In 0.5000 0.9123 0.9123
In 0.7449 0.3678 0.6733
In 0.7449 0.6733 0.3678
Br 0.0000 0.0638 0.6412
Br 0.0000 0.6412 0.0638
Br 0.2704 0.1938 0.1938
Br 0.7296 0.1938 0.1938
Cl 0.5000 0.0927 0.6123
Cl 0.5000 0.6123 0.0927

Top 10 peaks for 10° ≤ 2θ ≤ 90°, sorted by position:
| 2θ/deg | d_spacing | Rel. int. |
| --- | --- | --- |
| 23.82 | 3.736 | 100 |
| 24.48 | 3.637 | 89 |
| 30.56 | 2.926 | 59 |
| 31.67 | 2.825 | 61 |
| 33.73 | 2.657 | 38 |
| 34.56 | 2.595 | 28 |
| 36.21 | 2.481 | 25 |
| 41.83 | 2.160 | 29 |
| 42.00 | 2.151 | 38 |
| 48.71 | 1.869 | 33 |

***

# NaIn2Br2Cl
Computed powder X-ray diffraction pattern, Cu Ka. Input: a DFT-relaxed cell (PBE, Alexandria).

Structure:
Lattice parameters (Å, degrees): 10.1071 10.1071 6.5595 90.00 90.00 38.09
Element x y z (fractional)
Na 0.2033 0.7967 0.5000
Na 0.7967 0.2033 0.0000
In 0.0876 0.5964 0.0549
In 0.4036 0.9124 0.0549
In 0.5964 0.0876 0.5549
In 0.9124 0.4036 0.5549
Br 0.1183 0.5871 0.5574
Br 0.4129 0.8817 0.5574
Br 0.5871 0.1183 0.0574
Br 0.8817 0.4129 0.0574
Cl 0.2164 0.7836 0.0715
Cl 0.7836 0.2164 0.5715

Top 10 peaks for 10° ≤ 2θ ≤ 90°, sorted by position:
| 2θ/deg | d_spacing | Rel. int. |
| --- | --- | --- |
| 18.57 | 4.777 | 67 |
| 27.03 | 3.298 | 100 |
| 27.19 | 3.280 | 100 |
| 28.02 | 3.185 | 74 |
| 33.00 | 2.714 | 34 |
| 33.13 | 2.704 | 34 |
| 38.72 | 2.326 | 73 |
| 39.33 | 2.291 | 55 |
| 39.44 | 2.285 | 56 |
| 48.47 | 1.878 | 58 |

***

# InPbBrCl4
Computed powder X-ray diffraction pattern, Cu Ka. Input: a DFT-relaxed cell (PBE, Alexandria).

Structure:
Lattice parameters (Å, degrees): 8.0303 8.0303 9.2852 104.71 104.71 71.13
Element x y z (fractional)
In 0.1436 0.1436 0.2727
In 0.8564 0.8564 0.7273
Pb 0.3276 0.3276 0.9169
Pb 0.6724 0.6724 0.0831
Br 0.4966 0.4966 0.2035
Br 0.5034 0.5034 0.7965
Cl 0.0310 0.4167 0.1654
Cl 0.0458 0.0458 0.8134
Cl 0.2207 0.2207 0.5391
Cl 0.4167 0.0310 0.1654
Cl 0.5833 0.9690 0.8346
Cl 0.7793 0.7793 0.4609
Cl 0.9542 0.9542 0.1866
Cl 0.9690 0.5833 0.8346

Top 10 peaks for 10° ≤ 2θ ≤ 90°, sorted by position:
| 2θ/deg | d_spacing | Rel. int. |
| --- | --- | --- |
| 10.03 | 8.821 | 89 |
| 19.00 | 4.671 | 100 |
| 19.90 | 4.463 | 32 |
| 21.39 | 4.154 | 39 |
| 22.78 | 3.904 | 33 |
| 28.23 | 3.161 | 27 |
| 30.53 | 2.928 | 31 |
| 34.84 | 2.575 | 40 |
| 35.39 | 2.536 | 24 |
| 35.64 | 2.519 | 31 |

***

# RbInPtBrCl
Computed powder X-ray diffraction pattern, Cu Ka. Input: a DFT-relaxed cell (PBE, Alexandria).

Structure:
Lattice parameters (Å, degrees): 10.0383 10.0383 10.0383 24.28 24.28 24.28
Element x y z (fractional)
Rb 0.0000 0.0000 0.0000
In 0.4907 0.4907 0.4907
Pt 0.8618 0.8618 0.8618
Br 0.2506 0.2506 0.2506
Cl 0.4015 0.4015 0.4015

Top 10 peaks for 10° ≤ 2θ ≤ 90°, sorted by position:
| 2θ/deg | d_spacing | Rel. int. |
| --- | --- | --- |
| 18.22 | 4.869 | 41 |
| 25.11 | 3.547 | 76 |
| 28.81 | 3.099 | 73 |
| 34.72 | 2.584 | 100 |
| 42.84 | 2.111 | 71 |
| 43.89 | 2.063 | 25 |
| 46.91 | 1.937 | 22 |
| 47.49 | 1.914 | 30 |
| 56.30 | 1.634 | 41 |
| 73.25 | 1.292 | 30 |

***

# RbInPtBrCl
Computed powder X-ray diffraction pattern, Cu Ka. Input: a DFT-relaxed cell (PBE, Alexandria).

Structure:
Lattice parameters (Å, degrees): 4.2113 4.2113 10.2498 102.71 102.71 60.17
Element x y z (fractional)
Rb 0.0000 0.0000 0.0000
In 0.4238 0.4238 0.5025
Pt 0.0572 0.0572 0.3892
Br 0.5854 0.5854 0.7713
Cl 0.7408 0.7408 0.2141

Top 10 peaks for 10° ≤ 2θ ≤ 90°, sorted by position:
| 2θ/deg | d_spacing | Rel. int. |
| --- | --- | --- |
| 17.90 | 4.956 | 55 |
| 25.05 | 3.555 | 100 |
| 25.27 | 3.524 | 49 |
| 28.56 | 3.125 | 65 |
| 34.26 | 2.617 | 58 |
| 34.79 | 2.579 | 42 |
| 39.23 | 2.296 | 25 |
| 42.84 | 2.111 | 31 |
| 42.96 | 2.105 | 38 |
| 43.83 | 2.066 | 25 |

***

# RbInPtBrCl
Computed powder X-ray diffraction pattern, Cu Ka. Input: a DFT-relaxed cell (PBE, Alexandria).

Structure:
Lattice parameters (Å, degrees): 4.0093 4.0093 8.7789 90.00 90.00 90.00
Element x y z (fractional)
Rb 0.0000 0.0000 0.0000
In 0.0000 0.0000 0.4803
Pt 0.5000 0.5000 0.4766
Br 0.5000 0.5000 0.7667
Cl 0.5000 0.5000 0.1987

Top 10 peaks for 10° ≤ 2θ ≤ 90°, sorted by position:
| 2θ/deg | d_spacing | Rel. int. |
| --- | --- | --- |
| 10.08 | 8.779 | 100 |
| 20.23 | 4.389 | 45 |
| 24.41 | 3.647 | 29 |
| 31.56 | 2.835 | 100 |
| 33.21 | 2.698 | 26 |
| 37.78 | 2.381 | 38 |
| 38.07 | 2.364 | 23 |
| 44.50 | 2.036 | 28 |
| 45.23 | 2.005 | 36 |
| 52.75 | 1.735 | 37 |

***

# RbIn2BrCl2
Computed powder X-ray diffraction pattern, Cu Ka. Input: a DFT-relaxed cell (PBE, Alexandria).

Structure:
Lattice parameters (Å, degrees): 7.8939 6.6803 8.7106 90.00 91.41 90.00
Element x y z (fractional)
Rb 0.2157 0.2500 0.0651
Rb 0.7843 0.7500 0.9349
In 0.2748 0.5009 0.5875
In 0.2748 0.9991 0.5875
In 0.7252 0.0009 0.4125
In 0.7252 0.4991 0.4125
Br 0.4900 0.7500 0.2067
Br 0.5100 0.2500 0.7933
Cl 0.0159 0.2500 0.6995
Cl 0.1909 0.7500 0.8378
Cl 0.8091 0.2500 0.1622
Cl 0.9841 0.7500 0.3005

Top 10 peaks for 10° ≤ 2θ ≤ 90°, sorted by position:
| 2θ/deg | d_spacing | Rel. int. |
| --- | --- | --- |
| 10.16 | 8.708 | 44 |
| 15.34 | 5.777 | 44 |
| 22.53 | 3.946 | 42 |
| 23.09 | 3.853 | 66 |
| 28.62 | 3.119 | 100 |
| 30.19 | 2.960 | 42 |
| 35.90 | 2.501 | 56 |
| 36.57 | 2.457 | 57 |
| 42.62 | 2.121 | 53 |
| 55.02 | 1.669 | 40 |

***

# In4SeBr2Cl
Computed powder X-ray diffraction pattern, Cu Ka. Input: a DFT-relaxed cell (PBE, Alexandria).

Structure:
Lattice parameters (Å, degrees): 9.0552 9.0552 9.0552 121.96 118.92 89.26
Element x y z (fractional)
In 0.2531 0.2436 0.4905
In 0.2531 0.7627 0.0095
In 0.2742 0.2480 0.0262
In 0.2782 0.7520 0.5262
In 0.7218 0.2480 0.4738
In 0.7258 0.7520 0.9738
In 0.7469 0.2373 0.9905
In 0.7469 0.7564 0.5095
Se 0.5000 0.0000 0.0000
Se 0.5000 0.5000 0.5000
Br 0.0000 0.0000 0.5000
Br 0.0000 0.5000 0.0000
Br 0.0000 0.5000 0.5000
Br 0.5000 0.5000 0.0000
Cl 0.0000 0.0000 0.0000
Cl 0.5000 0.0000 0.5000

Top 10 peaks for 10° ≤ 2θ ≤ 90°, sorted by position:
| 2θ/deg | d_spacing | Rel. int. |
| --- | --- | --- |
| 27.69 | 3.222 | 54 |
| 28.08 | 3.177 | 100 |
| 39.15 | 2.301 | 18 |
| 39.85 | 2.262 | 76 |
| 41.10 | 2.196 | 18 |
| 48.63 | 1.872 | 19 |
| 50.27 | 1.815 | 19 |
| 64.89 | 1.437 | 17 |
| 65.51 | 1.425 | 15 |
| 71.44 | 1.320 | 16 |

***

> Number 7 is which compound?

InPbBrCl4

***

> Number 7 is which compound?

InPbBrCl4